For RbTc, a cell relaxed with PBE gives the calculated PXRD pattern in this record (Cu Kα X-rays).
Intensities are scaled so that the largest is 1000.

Peak list (10 most intense, 2θ = 10–90°, by intensity)
two_theta, I_rel
24.1, 1000
25.2, 527
37.0, 482
31.4, 451
29.8, 427
37.6, 383
34.4, 317
35.2, 314
54.3, 289
15.6, 271

Crystal structure
a b c (Å): 12.736 12.736 4.865
angles (deg): 90.00 90.00 90.00
Sites, in units of the cell vectors:
Rb  0.092  0.650  0.000
Rb  0.204  0.325  0.500
Rb  0.325  0.796  0.500
Rb  0.350  0.092  0.000
Rb  0.650  0.908  0.000
Rb  0.675  0.204  0.500
Rb  0.796  0.675  0.500
Rb  0.908  0.350  0.000
Tc  0.001  0.133  0.500
Tc  0.060  0.119  0.000
Tc  0.119  0.940  0.000
Tc  0.133  0.999  0.500
Tc  0.867  0.001  0.500
Tc  0.881  0.060  0.000
Tc  0.940  0.881  0.000
Tc  0.999  0.867  0.500

***

For RbTc2Te, a cell relaxed with PBE gives the calculated PXRD pattern in this record (Cu Kα X-rays).
Intensities are scaled so that the largest is 1000.

Peak list (10 most intense, 2θ = 10–90°, by intensity)
two_theta, I_rel
27.2, 1000
18.6, 935
37.3, 566
56.1, 539
41.2, 404
38.1, 404
37.7, 382
60.2, 234
36.5, 228
46.4, 208

Crystal structure
a b c (Å): 10.251 10.251 10.251
angles (deg): 152.18 152.18 39.74
Sites, in units of the cell vectors:
Rb  0.375  0.625  0.750
Rb  0.625  0.375  0.250
Tc  0.000  0.000  0.000
Tc  0.000  0.000  0.500
Tc  0.000  0.500  0.000
Tc  0.500  0.000  0.500
Te  0.125  0.875  0.250
Te  0.875  0.125  0.750

***

For RbV2Tc, a cell relaxed with PBE gives the calculated PXRD pattern in this record (Cu Kα X-rays).
Intensities are scaled so that the largest is 1000.

Peak list (10 most intense, 2θ = 10–90°, by intensity)
two_theta, I_rel
24.5, 1000
50.2, 314
16.1, 305
30.0, 295
39.3, 282
50.1, 274
43.4, 211
32.6, 138
62.7, 138
62.4, 79

Crystal structure
a b c (Å): 8.347 8.347 8.347
angles (deg): 138.25 138.25 60.53
Sites, in units of the cell vectors:
Rb  0.375  0.625  0.750
Rb  0.625  0.375  0.250
V  0.000  0.000  0.000
V  0.000  0.000  0.500
V  0.000  0.500  0.000
V  0.500  0.000  0.500
Tc  0.125  0.875  0.250
Tc  0.875  0.125  0.750

***

Repeat the first record exactly.
For RbTc, a cell relaxed with PBE gives the calculated PXRD pattern in this record (Cu Kα X-rays).
Intensities are scaled so that the largest is 1000.

Peak list (10 most intense, 2θ = 10–90°, by intensity)
two_theta, I_rel
24.1, 1000
25.2, 527
37.0, 482
31.4, 451
29.8, 427
37.6, 383
34.4, 317
35.2, 314
54.3, 289
15.6, 271

Crystal structure
a b c (Å): 12.736 12.736 4.865
angles (deg): 90.00 90.00 90.00
Sites, in units of the cell vectors:
Rb  0.092  0.650  0.000
Rb  0.204  0.325  0.500
Rb  0.325  0.796  0.500
Rb  0.350  0.092  0.000
Rb  0.650  0.908  0.000
Rb  0.675  0.204  0.500
Rb  0.796  0.675  0.500
Rb  0.908  0.350  0.000
Tc  0.001  0.133  0.500
Tc  0.060  0.119  0.000
Tc  0.119  0.940  0.000
Tc  0.133  0.999  0.500
Tc  0.867  0.001  0.500
Tc  0.881  0.060  0.000
Tc  0.940  0.881  0.000
Tc  0.999  0.867  0.500